Diffraction record for KU2CuS4. The powder XRD pattern is theoretical, not measured: it uses a cell relaxed with GGA-PBE and λ = 1.5418 Å (Cu Kα).

Main lines, sorted by position (10° ≤ 2θ ≤ 80°):
2θ = 12.9°, I 752
2θ = 14.5°, I 891
2θ = 23.4°, I 869
2θ = 27.1°, I 562
2θ = 30.8°, I 521
2θ = 33.0°, I 1000
2θ = 35.2°, I 626
2θ = 45.2°, I 594

Cell: 7.0684 7.0684 13.7356 Å, 90.00 90.00 147.92°
Sites, in units of the cell vectors:
K 0.1054 0.8946 0.7500
K 0.8946 0.1054 0.2500
U 0.3672 0.6328 0.5589
U 0.3672 0.6328 0.9411
U 0.6328 0.3672 0.0589
U 0.6328 0.3672 0.4411
Cu 0.1667 0.8333 0.2500
Cu 0.8333 0.1667 0.7500
S 0.0000 0.0000 0.0000
S 0.0000 0.0000 0.5000
S 0.2654 0.7346 0.1123
S 0.2654 0.7346 0.3877
S 0.4265 0.5735 0.7500
S 0.5735 0.4265 0.2500
S 0.7346 0.2654 0.6123
S 0.7346 0.2654 0.8877